Calculated X-ray diffraction stick pattern
Compound: TmSiAg
Radiation: Cu Kα X-rays
Structure: a DFT-relaxed cell (GGA-PBE, Alexandria)
Kinematic intensities with the Lorentz-polarization factor, no thermal factor.

Most intense lines, 2θ = 15–90°, low angle first:
2θ = 25.5°, I = 19.9, hkl 1 1 0
2θ = 26.0°, I = 20.1, hkl 1 0 1
2θ = 33.5°, I = 100.0, hkl 1 1 1
2θ = 36.7°, I = 68.2, hkl 2 0 1
2θ = 39.4°, I = 50.3, hkl 2 1 0
2θ = 43.5°, I = 22.9, hkl 0 0 2
2θ = 54.7°, I = 14.7, hkl 3 1 0
2θ = 59.4°, I = 30.9, hkl 3 1 1
2θ = 60.2°, I = 28.2, hkl 2 1 2
2θ = 71.7°, I = 17.0, hkl 3 2 1

Crystal structure
abc: 6.9880 6.9880 4.1569
angles: 90.00 90.00 120.00
Fractional coordinates of all 9 atoms:
Tm  0.0000  0.5814  0.0000
Tm  0.4186  0.4186  0.0000
Tm  0.5814  0.0000  0.0000
Si  0.0000  0.0000  0.0000
Si  0.3333  0.6667  0.5000
Si  0.6667  0.3333  0.5000
Ag  0.0000  0.2511  0.5000
Ag  0.2511  0.0000  0.5000
Ag  0.7489  0.7489  0.5000

***

Calculated X-ray diffraction stick pattern
Compound: Zn2SiAg
Radiation: Cu Kα X-rays
Structure: a DFT-relaxed cell (GGA-PBE, Alexandria)
Kinematic intensities with the Lorentz-polarization factor, no thermal factor.

Most intense lines, 2θ = 15–90°, low angle first:
2θ = 15.5°, I = 20.2, hkl 0 0 1
2θ = 22.5°, I = 17.8, hkl 0 1 0
2θ = 27.4°, I = 11.5, hkl 0 1 1
2θ = 38.9°, I = 100.0, hkl 0 1 2
2θ = 39.3°, I = 97.6, hkl 1 1 0
2θ = 45.2°, I = 64.1, hkl 1 0 2
2θ = 46.0°, I = 30.6, hkl 0 2 0
2θ = 66.4°, I = 47.7, hkl 2 0 0
2θ = 78.8°, I = 22.5, hkl 1 1 4
2θ = 79.7°, I = 22.4, hkl 2 1 2

Crystal structure
abc: 2.8163 3.9498 5.7242
angles: 90.00 90.00 90.00
Fractional coordinates of all 4 atoms:
Zn  0.0000  0.0000  0.0000
Zn  0.5000  0.5000  0.2396
Si  0.5000  0.5000  0.7621
Ag  0.0000  0.0000  0.4917